For LiH3O2, DFT lattice parameters and positions (PBE) gives the computed powder diffraction line list in this record (Cu Kα, 1.54184 Å).
Peak positions follow from Bragg's law for the DFT cell and can differ from measured ones.

Atomic structure:
```
LiH3O2
1.0
3.2500 0.0000 0.0000
-1.4359 5.3895 0.0000
-1.4248 -1.0015 5.4062
Li H O
2 6 4
Direct
0.0060 0.1570 0.3501
0.9940 0.8430 0.6499
0.1700 0.7710 0.2640
0.3555 0.5175 0.7585
0.3598 0.2483 0.0216
0.6402 0.7517 0.9784
0.6445 0.4825 0.2415
0.8300 0.2290 0.7360
0.1132 0.2172 0.7146
0.4985 0.7096 0.7929
0.5015 0.2904 0.2071
0.8868 0.7828 0.2854
```

Peak list (10 most intense, 10° ≤ 2θ ≤ 80°, by intensity)
hkl  2θ/deg  I_rel
1 0 -1  29.5  100.0
0 0 2  33.1  81.2
0 2 0  33.8  80.1
-1 1 1  31.1  47.3
1 -1 1  36.7  39.4
1 1 -1  37.0  35.2
1 0 -3  51.0  19.1
1 -3 0  51.7  17.6
0 2 2  52.6  15.3
1 1 1  46.8  15.1

---

For Li4P5HO15, DFT lattice parameters and positions (PBE) gives the computed powder diffraction line list in this record (Cu Kα, 1.54184 Å).
Peak positions follow from Bragg's law for the DFT cell and can differ from measured ones.

Atomic structure:
```
Li4P5HO15
1.0
6.7235 0.0000 0.0000
0.5891 7.3242 0.0000
1.3478 3.3359 10.9695
Li P H O
8 10 2 30
Direct
0.0751 0.1035 0.3239
0.1148 0.1388 0.0551
0.1866 0.1888 0.7637
0.2209 0.2124 0.5119
0.7791 0.7876 0.4881
0.8134 0.8112 0.2363
0.8852 0.8612 0.9449
0.9249 0.8965 0.6761
0.1096 0.5249 0.1407
0.2091 0.6242 0.5482
0.2994 0.7404 0.2728
0.3560 0.7786 0.9370
0.4275 0.8438 0.6698
0.5725 0.1562 0.3302
0.6440 0.2214 0.0630
0.7006 0.2596 0.7272
0.7909 0.3758 0.4518
0.8904 0.4751 0.8593
0.4579 0.2031 0.9231
0.5421 0.7969 0.0769
0.0374 0.7683 0.5469
0.0638 0.3320 0.8838
0.0790 0.3168 0.1669
0.1338 0.8933 0.2456
0.1796 0.4142 0.5962
0.1955 0.9346 0.9284
0.2289 0.5485 0.2495
0.2600 0.9952 0.6561
0.2816 0.5791 0.0243
0.3318 0.6635 0.4142
0.3622 0.1055 0.3799
0.3804 0.6694 0.6214
0.4254 0.7278 0.8146
0.4436 0.1902 0.0174
0.4946 0.2163 0.7934
0.5054 0.7837 0.2066
0.5564 0.8098 0.9826
0.5746 0.2722 0.1854
0.6196 0.3306 0.3786
0.6378 0.8945 0.6201
0.6682 0.3365 0.5858
0.7184 0.4209 0.9757
0.7400 0.0048 0.3439
0.7711 0.4515 0.7505
0.8045 0.0654 0.0716
0.8204 0.5858 0.4038
0.8662 0.1067 0.7544
0.9210 0.6832 0.8331
0.9362 0.6680 0.1162
0.9626 0.2317 0.4531
```

Peak list (10 most intense, 10° ≤ 2θ ≤ 80°, by intensity)
hkl  2θ/deg  I_rel
1 -1 0  18.8  100.0
1 0 -3  29.0  56.9
0 1 -3  30.7  38.1
1 1 4  32.6  37.3
1 2 2  27.9  35.3
1 -2 0  29.4  21.0
2 1 2  30.1  20.0
1 2 1  26.8  19.0
2 -1 0  30.2  18.5
1 1 -1  21.6  18.4

---

For Li6P6H8O23, DFT lattice parameters and positions (PBE) gives the computed powder diffraction line list in this record (Cu Kα, 1.54184 Å).
Peak positions follow from Bragg's law for the DFT cell and can differ from measured ones.

Atomic structure:
```
Li6P6H8O23
1.0
8.1820 0.0000 0.0000
-2.7333 7.7700 0.0000
-3.9150 -3.0425 8.4010
Li P H O
6 6 8 23
Direct
0.0000 0.0000 0.0000
0.0926 0.6404 0.4733
0.2752 0.8695 0.2621
0.5652 0.6799 0.3816
0.7497 0.9189 0.1711
0.8439 0.5554 0.6479
0.1193 0.9538 0.7400
0.1865 0.0621 0.4863
0.4179 0.4661 0.5611
0.4214 0.0877 0.0836
0.6507 0.4912 0.1584
0.7185 0.6000 0.9040
0.0717 0.3129 0.2038
0.1070 0.5919 0.0362
0.3305 0.6182 0.1149
0.5089 0.9316 0.5292
0.7279 0.9518 0.6003
0.7837 0.2547 0.4468
0.8855 0.2602 0.6214
0.9202 0.2637 0.0232
0.0097 0.2258 0.0970
0.0433 0.7601 0.6374
0.1920 0.0951 0.6570
0.2294 0.6350 0.1385
0.2370 0.4944 0.4821
0.2520 0.9140 0.4555
0.2583 0.0095 0.1237
0.3310 0.0075 0.8925
0.3693 0.2519 0.5281
0.4671 0.3012 0.1145
0.5059 0.5443 0.7521
0.5823 0.6381 0.1860
0.5831 0.5438 0.5230
0.6044 0.0625 0.1611
0.6062 0.9160 0.4993
0.6499 0.4601 0.9895
0.6850 0.1236 0.8068
0.7942 0.7944 0.0055
0.8414 0.5111 0.2842
0.8464 0.3330 0.5573
0.8544 0.5526 0.8549
0.9828 0.0006 0.7889
0.9936 0.0429 0.3635
```

Peak list (10 most intense, 10° ≤ 2θ ≤ 80°, by intensity)
hkl  2θ/deg  I_rel
1 -1 0  13.4  100.0
-2 1 1  22.1  34.8
0 2 0  24.4  33.6
1 2 -2  29.7  31.3
2 -1 1  29.5  26.3
1 0 1  20.5  24.5
-1 1 1  15.6  23.8
1 1 0  21.5  23.7
1 0 -2  18.7  21.1
1 0 -3  27.9  18.8

---

For LiPH2O4, DFT lattice parameters and positions (PBE) gives the computed powder diffraction line list in this record (Cu Kα, 1.54184 Å).
Peak positions follow from Bragg's law for the DFT cell and can differ from measured ones.

Atomic structure:
```
LiPH2O4
1.0
6.3938 0.0000 0.0000
0.0000 7.7020 0.0000
0.0000 0.0000 6.9261
Li P H O
4 4 8 16
Direct
0.0131 0.2272 0.0000
0.4869 0.7272 0.5000
0.5131 0.2728 0.0000
0.9869 0.7728 0.5000
0.1987 0.5711 0.1736
0.3013 0.0711 0.6736
0.6987 0.9289 0.1736
0.8013 0.4289 0.6736
0.0116 0.8877 0.0600
0.0377 0.6400 0.8865
0.4623 0.1400 0.3865
0.4884 0.3877 0.5600
0.5116 0.6123 0.0600
0.5377 0.8600 0.8865
0.9623 0.3600 0.3865
0.9884 0.1123 0.5600
0.0687 0.4074 0.1964
0.0769 0.0082 0.5945
0.1059 0.6938 0.0084
0.2273 0.6844 0.3498
0.2727 0.1844 0.8498
0.3941 0.1938 0.5084
0.4231 0.5082 0.0945
0.4313 0.9074 0.6964
0.5687 0.0926 0.1964
0.5769 0.4918 0.5945
0.6059 0.8062 0.0084
0.7273 0.8156 0.3498
0.7727 0.3156 0.8498
0.8941 0.3062 0.5084
0.9231 0.9918 0.0945
0.9313 0.5926 0.6964
```

Peak list (10 most intense, 10° ≤ 2θ ≤ 80°, by intensity)
hkl  2θ/deg  I_rel
1 1 1  22.2  100.0
1 2 0  27.0  20.1
0 2 2  34.8  18.7
0 1 1  17.2  16.3
2 1 1  33.0  12.3
0 0 2  25.7  12.0
2 0 1  30.8  9.3
1 1 2  31.6  6.1
1 1 0  18.0  5.6
2 2 3  54.5  4.7